Calculated powder diffraction line list of Ac3Nd2Tm for Cu Kα (weighted mean of Kα1 and Kα2), from a GGA-PBE-relaxed structure.
Lines closer than 0.1° are merged.

Most intense lines, 2θ from 10° to 80°, most intense first:
2θ = 30.62°, 2.920 Å, intensity 100, hkl 1 1 2; 2θ = 27.82°, 3.207 Å, intensity 67, hkl 1 1 1; 2θ = 29.20°, 3.058 Å, intensity 38, hkl 0 0 4; 2θ = 34.83°, 2.576 Å, intensity 38, hkl 1 1 3; 2θ = 56.63°, 1.625 Å, intensity 36, hkl 3 0 4; 2θ = 47.38°, 1.919 Å, intensity 31, hkl 3 0 0; 2θ = 52.67°, 1.738 Å, intensity 22, hkl 1 1 6; 2θ = 46.07°, 1.970 Å, intensity 18, hkl 1 1 5

Structure:
```
data_Ac3Nd2Tm
_chemical_formula_sum 'Ac6 Nd4 Tm2'
_space_group_name_H-M_alt 'P 63/m c m'
_space_group_IT_number 193
_space_group_name_Hall '-P 6c 2'
_cell_length_a 6.6465
_cell_length_b 6.6465
_cell_length_c 12.2340
_cell_angle_alpha 90.00
_cell_angle_beta 90.00
_cell_angle_gamma 120.00
loop_
_atom_site_label
_atom_site_type_symbol
_atom_site_fract_x
_atom_site_fract_y
_atom_site_fract_z
Ac1 Ac 0.0000 0.3307 0.2500
Nd1 Nd 0.3333 0.6667 0.0000
Tm1 Tm 0.0000 0.0000 0.0000
```



Calculated powder diffraction line list of Ac2Nd2Tm3 for Cu Kα (weighted mean of Kα1 and Kα2), from a GGA-PBE-relaxed structure.
Lines closer than 0.1° are merged.

Most intense lines, 2θ from 10° to 80°, most intense first:
2θ = 29.68°, 3.010 Å, intensity 100, hkl 0 1 -2; 2θ = 34.46°, 2.603 Å, intensity 34, hkl 2 -1 1; 2θ = 49.46°, 1.843 Å, intensity 18, hkl 1 0 3; 2θ = 34.29°, 2.615 Å, intensity 17, hkl -1 1 2; 2θ = 58.74°, 1.572 Å, intensity 15, hkl 1 3 -3; 2θ = 58.58°, 1.576 Å, intensity 15, hkl 1 0 -4; 2θ = 58.87°, 1.569 Å, intensity 15, hkl 2 -2 3; 2θ = 61.62°, 1.505 Å, intensity 13, hkl 0 2 -4

Structure:
```
data_Ac2Nd2Tm3
_chemical_formula_sum 'Ac2 Nd2 Tm3'
_space_group_name_H-M_alt 'P -1'
_space_group_IT_number 2
_space_group_name_Hall '-P 1'
_cell_length_a 6.377
_cell_length_b 6.384
_cell_length_c 6.396
_cell_angle_alpha 99.39
_cell_angle_beta 99.83
_cell_angle_gamma 99.55
loop_
_atom_site_label
_atom_site_type_symbol
_atom_site_fract_x
_atom_site_fract_y
_atom_site_fract_z
Ac1 Ac 0.151 0.069 0.284
Nd1 Nd 0.284 0.639 0.574
Tm1 Tm 0.000 0.500 0.000
Tm2 Tm 0.433 0.226 0.863
```



Calculated powder diffraction line list of Ac8Nd3Tm for Cu Kα (weighted mean of Kα1 and Kα2), from a GGA-PBE-relaxed structure.
Lines closer than 0.1° are merged.

Most intense lines, 2θ from 10° to 80°, most intense first:
2θ = 33.42°, 2.681 Å, intensity 100, hkl 3 1 2; 2θ = 22.41°, 3.968 Å, intensity 96, hkl 2 1 1; 2θ = 41.19°, 2.192 Å, intensity 96, hkl 4 0 2; 2θ = 27.74°, 3.216 Å, intensity 95, hkl 0 0 4; 2θ = 27.04°, 3.298 Å, intensity 82, hkl 2 2 0; 2θ = 23.56°, 3.776 Å, intensity 64, hkl 2 0 2; 2θ = 39.12°, 2.303 Å, intensity 61, hkl 2 2 4; 2θ = 29.88°, 2.990 Å, intensity 48, hkl 2 1 3

Structure:
```
data_Ac8Nd3Tm
_chemical_formula_sum 'Ac16 Nd6 Tm2'
_space_group_name_H-M_alt 'I -4 2 m'
_space_group_IT_number 121
_space_group_name_Hall 'I -4 2'
_cell_length_a 9.327
_cell_length_b 9.327
_cell_length_c 12.866
_cell_angle_alpha 90.00
_cell_angle_beta 90.00
_cell_angle_gamma 90.00
loop_
_atom_site_label
_atom_site_type_symbol
_atom_site_fract_x
_atom_site_fract_y
_atom_site_fract_z
Ac1 Ac 0.131 0.131 0.256
Ac2 Ac 0.248 0.248 0.509
Nd1 Nd 0.000 0.000 0.000
Nd2 Nd 0.000 0.500 0.250
Tm1 Tm 0.000 0.000 0.500
```



Calculated powder diffraction line list of Ac3Nd6Tm for Cu Kα (weighted mean of Kα1 and Kα2), from a GGA-PBE-relaxed structure.
Lines closer than 0.1° are merged.

Most intense lines, 2θ from 10° to 80°, most intense first:
2θ = 30.34°, 2.946 Å, intensity 100, hkl 3 0 0; 2θ = 27.01°, 3.302 Å, intensity 55, hkl 2 -1 3; 2θ = 38.67°, 2.329 Å, intensity 25, hkl 2 1 4; 2θ = 29.30°, 3.048 Å, intensity 25, hkl 1 0 4; 2θ = 17.38°, 5.102 Å, intensity 20, hkl 1 1 0; 2θ = 53.91°, 1.701 Å, intensity 20, hkl 3 3 0; 2θ = 34.27°, 2.617 Å, intensity 18, hkl 0 2 4; 2θ = 51.90°, 1.762 Å, intensity 18, hkl 5 -1 3

Structure:
```
data_Ac3Nd6Tm
_chemical_formula_sum 'Ac9 Nd18 Tm3'
_space_group_name_H-M_alt 'R -3'
_space_group_IT_number 148
_space_group_name_Hall '-R 3'
_cell_length_a 10.2045
_cell_length_b 10.2045
_cell_length_c 12.9912
_cell_angle_alpha 90.00
_cell_angle_beta 90.00
_cell_angle_gamma 120.00
loop_
_atom_site_label
_atom_site_type_symbol
_atom_site_fract_x
_atom_site_fract_y
_atom_site_fract_z
Ac1 Ac 0.0000 0.0000 0.0000
Ac2 Ac 0.0000 0.0000 0.2576
Nd1 Nd 0.0000 0.3258 0.4226
Tm1 Tm 0.0000 0.0000 0.5000
```